Record 1
Theoretical XRD peak list
Compound: VZnCr
Radiation: Cu Kα
Structure: a PBE-relaxed structure
Peak positions follow from Bragg's law for the DFT cell and can differ from measured ones.

The 10 most intense peaks (10° ≤ 2θ ≤ 90°), in order of falling intensity:
2θ = 41.92°, I 100.0, hkl 1 0 3; 2θ = 45.64°, I 42.0, hkl 1 1 0; 2θ = 81.81°, I 24.0, hkl 2 1 3; 2θ = 66.53°, I 12.3, hkl 2 0 0; 2θ = 73.90°, I 12.3, hkl 1 1 6; 2θ = 54.68°, I 8.2, hkl 0 0 6; 2θ = 36.61°, I 7.9, hkl 1 0 2; 2θ = 66.04°, I 4.7, hkl 1 1 5; 2θ = 84.29°, I 4.6, hkl 1 0 8; 2θ = 45.01°, I 4.0, hkl 0 0 5

Cell and atoms:
Cell: 2.811 2.811 10.071 Å, 90.00 90.00 90.00°
Atoms (fractional coordinates):
V  0.250  0.250  0.228
V  0.750  0.750  0.772
Zn  0.250  0.250  0.589
Zn  0.750  0.750  0.411
Cr  0.250  0.250  0.935
Cr  0.750  0.750  0.065

***

Record 2
Theoretical XRD peak list
Compound: VZnCr
Radiation: Cu Kα
Structure: a PBE-relaxed structure
Peak positions follow from Bragg's law for the DFT cell and can differ from measured ones.

The 10 most intense peaks (10° ≤ 2θ ≤ 90°), in order of falling intensity:
2θ = 43.25°, I 100.0, hkl 1 0 3; 2θ = 41.78°, I 58.5, hkl 1 1 0; 2θ = 77.31°, I 31.0, hkl 2 1 3; 2θ = 60.56°, I 17.7, hkl 2 0 0; 2θ = 80.36°, I 11.9, hkl 1 1 6; 2θ = 31.04°, I 7.0, hkl 1 0 1; 2θ = 65.05°, I 5.7, hkl 0 0 6; 2θ = 60.74°, I 4.1, hkl 1 1 4; 2θ = 85.07°, I 3.3, hkl 1 0 7; 2θ = 42.01°, I 3.2, hkl 0 0 4

Cell and atoms:
Cell: 3.058 3.058 8.603 Å, 90.00 90.00 90.00°
Atoms (fractional coordinates):
V  0.000  0.000  0.000
V  0.500  0.500  0.500
Zn  0.000  0.000  0.316
Zn  0.500  0.500  0.816
Cr  0.000  0.000  0.636
Cr  0.500  0.500  0.136

***

Record 3
Theoretical XRD peak list
Compound: CrW5
Radiation: Cu Kα
Structure: a PBE-relaxed structure
Peak positions follow from Bragg's law for the DFT cell and can differ from measured ones.

The 10 most intense peaks (10° ≤ 2θ ≤ 90°), in order of falling intensity:
2θ = 40.60°, I 100.0, hkl 3 1 0; 2θ = 73.87°, I 28.7, hkl 2 2 2; 2θ = 58.73°, I 11.3, hkl 0 2 0; 2θ = 87.92°, I 7.6, hkl 6 2 0; 2θ = 73.95°, I 5.7, hkl 5 1 2; 2θ = 58.86°, I 5.6, hkl 6 0 0; 2θ = 87.81°, I 3.8, hkl 2 2 -4; 2θ = 29.96°, I 2.9, hkl 0 0 2; 2θ = 14.86°, I 2.4, hkl 0 0 1; 2θ = 19.99°, I 1.7, hkl 2 0 -1

Cell and atoms:
Cell: 9.925 3.145 6.288 Å, 90.00 108.48 90.00°
Atoms (fractional coordinates):
Cr  0.000  0.000  0.000
Cr  0.500  0.500  0.000
W  0.000  0.000  0.500
W  0.164  0.500  0.327
W  0.165  0.500  0.837
W  0.335  0.000  0.163
W  0.336  0.000  0.673
W  0.500  0.500  0.500
W  0.664  0.000  0.327
W  0.665  0.000  0.837
W  0.835  0.500  0.163
W  0.836  0.500  0.673